Diffraction record for SmMg2GaNi2. The PXRD pattern is computed, not measured: it uses the PBE geometry in Alexandria and λ = 1.5418 Å (Cu Kα).
Intensities are scaled so that the largest is 100.

The 10 most intense peaks (2θ = 10–80°), low angle first:
| 2θ/deg | d/Å | Rel. int. | hkl |
| --- | --- | --- | --- |
| 25.5 | 3.492 | 100 | 1 1 0 |
| 31.2 | 2.868 | 29 | 1 1 2 |
| 32.3 | 2.772 | 21 | 1 0 3 |
| 35.7 | 2.513 | 33 | 0 0 4 |
| 36.4 | 2.469 | 71 | 2 0 0 |
| 44.4 | 2.040 | 38 | 1 1 4 |
| 51.9 | 1.761 | 44 | 2 0 4 |
| 52.4 | 1.746 | 24 | 2 2 0 |
| 59.2 | 1.562 | 19 | 3 1 0 |
| 65.0 | 1.434 | 22 | 2 2 4 |

a b c (Å): 4.939 4.939 10.050
angles (deg): 90.00 90.00 90.00
Space group I4/mmm (No. 139)
Asymmetric unit:
1 Sm 0.000 0.000 0.000
2 Mg 0.000 0.500 0.250
3 Ga 0.000 0.000 0.500
4 Ni 0.000 0.000 0.274